Diffraction record for HoTm2In3Ni3. The X-ray diffraction stick pattern is calculated, not measured: it uses a cell relaxed with PBE and copper Kα.
No peak broadening, texture or thermal motion is included.

Cell and atoms:
```
HoTm2In3Ni3
1.0
3.7666 0.0000 0.0000
0.0000 6.3893 3.6887
0.0000 -6.3893 3.6887
Ho Tm In Ni
1 2 3 3
Cartesian
0.0000 0.0000 0.0000
0.0000 -2.6230 4.5452
0.0000 2.6230 4.5452
1.8833 -1.6401 2.0887
1.8833 1.6401 2.0887
1.8833 0.0000 4.9155
0.0000 0.0000 3.0344
1.8833 -4.2539 3.0298
1.8833 4.2539 3.0298
```

Peak list (10 most intense, 10° ≤ 2θ ≤ 90°, low angle first)
two_theta  I/Imax
34.02  100
36.89  72
37.23  51
42.44  23
48.33  19
51.58  15
57.47  24
62.54  22
66.25  12
68.72  24



Diffraction record for YHoIn2Ni4. The X-ray diffraction stick pattern is calculated, not measured: it uses a cell relaxed with PBE and copper Kα.
No peak broadening, texture or thermal motion is included.

Cell and atoms:
```
YHoIn2Ni4
1.0
4.0222 0.0000 0.0000
0.0000 5.0893 0.0000
0.0000 0.0000 7.0178
Y Ho In Ni
1 1 2 4
Cartesian
0.0000 0.0000 0.0000
0.0000 2.5446 3.2248
2.0111 0.0000 2.6349
2.0111 2.5446 0.5659
0.0000 0.0000 4.3338
0.0000 2.5446 5.8680
2.0111 1.2755 5.1002
2.0111 3.8137 5.1002
```

Peak list (10 most intense, 10° ≤ 2θ ≤ 90°, low angle first)
two_theta  I/Imax
31.07  100
33.90  26
35.27  33
38.36  79
38.48  16
42.53  31
44.01  62
45.08  39
48.44  16
63.70  18



Diffraction record for Y2HoIn3Ni3. The X-ray diffraction stick pattern is calculated, not measured: it uses a cell relaxed with PBE and copper Kα.
No peak broadening, texture or thermal motion is included.

Cell and atoms:
```
Y2HoIn3Ni3
1.0
3.7885 0.0000 0.0000
0.0000 6.4325 3.7300
0.0000 -6.4325 3.7300
Y Ho In Ni
2 1 3 3
Cartesian
0.0000 -3.7918 3.7300
0.0000 3.7918 3.7300
0.0000 0.0000 4.5972
1.8942 -1.6331 2.4797
1.8942 1.6331 2.4797
1.8942 0.0000 7.0947
0.0000 0.0000 1.5374
1.8942 -2.1300 5.2566
1.8942 2.1300 5.2566
```

Peak list (10 most intense, 10° ≤ 2θ ≤ 90°, low angle first)
two_theta  I/Imax
33.76  100
36.61  77
36.86  44
36.96  16
42.00  17
44.17  16
48.03  21
56.90  11
62.06  25
68.13  17